For MnBi2RhO8, the PBE+U geometry in Alexandria gives the calculated powder diffraction line list in this record (Cu Kα X-rays).
Kinematic intensities with the Lorentz-polarization factor, no thermal factor.

Atomic structure:
abc: 4.779 4.779 6.813
angles: 90.00 90.00 90.54
Sites, in units of the cell vectors:
Mn  0.000  0.000  0.000
Bi  0.500  0.500  0.250
Bi  0.500  0.500  0.750
Rh  0.000  0.000  0.500
O  0.179  0.821  0.258
O  0.179  0.821  0.742
O  0.291  0.291  0.500
O  0.293  0.293  0.000
O  0.707  0.707  0.000
O  0.709  0.709  0.500
O  0.821  0.179  0.258
O  0.821  0.179  0.742

Main lines, by angle (15° ≤ 2θ ≤ 90°):
- 2θ 18.6, rel. 361
- 2θ 26.2, rel. 641
- 2θ 26.5, rel. 506
- 2θ 32.3, rel. 1000
- 2θ 37.6, rel. 438
- 2θ 50.3, rel. 396
- 2θ 50.5, rel. 359
- 2θ 60.8, rel. 105
- 2θ 61.0, rel. 111
- 2θ 61.5, rel. 116
- 2θ 64.6, rel. 215
- 2θ 67.5, rel. 110